Structure and computed XRD peak list of LiAlB2O5 (a cell relaxed with PBE; CuKα).
Neutral-atom scattering factors, no anomalous dispersion.

Structural model:
a = 7.170 Å, b = 7.170 Å, c = 9.506 Å
α = 110.86°, β = 110.86°, γ = 90.71°
Sites, in units of the cell vectors:
1 Li 0.127 0.873 0.750
2 Li 0.342 0.658 0.250
3 Li 0.658 0.342 0.750
4 Li 0.873 0.127 0.250
5 Al 0.155 0.455 0.847
6 Al 0.455 0.155 0.347
7 Al 0.545 0.845 0.653
8 Al 0.845 0.545 0.153
9 B 0.105 0.758 0.471
10 B 0.242 0.895 0.029
11 B 0.264 0.271 0.090
12 B 0.271 0.264 0.590
13 B 0.729 0.736 0.410
14 B 0.736 0.729 0.910
15 B 0.758 0.105 0.971
16 B 0.895 0.242 0.529
17 O 0.065 0.217 0.482
18 O 0.085 0.671 0.313
19 O 0.172 0.718 0.895
20 O 0.209 0.415 0.027
21 O 0.217 0.065 0.982
22 O 0.282 0.828 0.605
23 O 0.326 0.360 0.754
24 O 0.329 0.915 0.187
25 O 0.360 0.326 0.254
26 O 0.415 0.209 0.527
27 O 0.585 0.791 0.473
28 O 0.640 0.674 0.746
29 O 0.671 0.085 0.813
30 O 0.674 0.640 0.246
31 O 0.718 0.172 0.395
32 O 0.783 0.935 0.018
33 O 0.791 0.585 0.973
34 O 0.828 0.282 0.105
35 O 0.915 0.329 0.687
36 O 0.935 0.783 0.518

Largest 12 diffraction maxima, by angle, 10 to 90 degrees two-theta:
- d = 4.386 Å, I = 11
- d = 4.337 Å, I = 36
- d = 4.305 Å, I = 11
- d = 4.240 Å, I = 19
- d = 3.584 Å, I = 100
- d = 3.307 Å, I = 21
- d = 3.261 Å, I = 32
- d = 2.960 Å, I = 12
- d = 2.786 Å, I = 14
- d = 2.358 Å, I = 24
- d = 1.901 Å, I = 8
- d = 1.792 Å, I = 11